Entry 1:
CaB2O10: calculated powder diffractogram (Cu Kα (weighted mean of Kα1 and Kα2)), based on DFT lattice parameters and positions (GGA-PBE).
No peak broadening, texture or thermal motion is included.

Cell and atoms:
Lattice parameters (Å, degrees): 7.2368 7.2939 10.8567 90.00 113.96 90.00
Space group P2/c (No. 13)
Inequivalent atoms, fractional coordinates:
Ca1 0.0000 0.0240 0.2500 x2
B1 0.1130 0.2677 0.5446 x4
O1 0.0661 0.4628 0.5611 x4
O2 0.1176 0.2059 0.4311 x4
O3 0.1453 0.1727 0.6565 x4
O4 0.3707 0.2172 0.9751 x4
O5 0.4483 0.2039 0.0993 x4

Principal peaks in the range 2θ = 15–90°, most intense first:
- d = 3.233 Å, 27.6 deg, rel. 100
- d = 4.169 Å, 21.3 deg, rel. 46
- d = 4.102 Å, 21.7 deg, rel. 27
- d = 2.938 Å, 30.4 deg, rel. 22
- d = 3.194 Å, 27.9 deg, rel. 21
- d = 4.961 Å, 17.9 deg, rel. 19
- d = 3.141 Å, 28.4 deg, rel. 18
- d = 2.625 Å, 34.2 deg, rel. 18
- d = 3.056 Å, 29.2 deg, rel. 18
- d = 3.307 Å, 27.0 deg, rel. 18



Entry 2:
CaBOsO6: calculated powder diffractogram (Cu Kα (weighted mean of Kα1 and Kα2)), based on DFT lattice parameters and positions (GGA-PBE).
No peak broadening, texture or thermal motion is included.

Cell and atoms:
Lattice parameters (Å, degrees): 4.9378 4.9395 5.3512 90.66 111.09 90.53
Space group P1 (No. 1)
Inequivalent atoms, fractional coordinates:
Ca1 0.0000 0.0000 0.0000 x1
B1 0.5227 0.4297 0.8832 x1
Os1 0.6596 0.5168 0.3825 x1
O1 0.3485 0.7203 0.3072 x1
O2 0.3672 0.2931 0.0087 x1
O3 0.5766 0.3167 0.6665 x1
O4 0.6772 0.6580 0.0218 x1
O5 0.8928 0.2587 0.3466 x1
O6 0.9267 0.7391 0.6124 x1

Principal peaks in the range 2θ = 15–90°, most intense first:
- d = 4.939 Å, 18.0 deg, rel. 100
- d = 4.606 Å, 19.3 deg, rel. 99
- d = 3.212 Å, 27.8 deg, rel. 80
- d = 3.393 Å, 26.3 deg, rel. 78
- d = 4.992 Å, 17.8 deg, rel. 76
- d = 4.228 Å, 21.0 deg, rel. 72
- d = 3.483 Å, 25.6 deg, rel. 60
- d = 3.345 Å, 26.7 deg, rel. 58
- d = 3.539 Å, 25.2 deg, rel. 57
- d = 2.904 Å, 30.8 deg, rel. 29



Entry 3:
CaPa2BO8: calculated powder diffractogram (Cu Kα (weighted mean of Kα1 and Kα2)), based on DFT lattice parameters and positions (GGA-PBE).
No peak broadening, texture or thermal motion is included.

Cell and atoms:
Lattice parameters (Å, degrees): 4.8720 4.8720 6.9158 90.00 90.00 120.00
Space group P-3m1 (No. 164)
Inequivalent atoms, fractional coordinates:
Ca1 0.0000 0.0000 0.0000 x1
Pa1 0.3333 0.6667 0.3478 x2
B1 0.0000 0.0000 0.5000 x1
O1 0.1610 0.3220 0.6457 x6
O2 0.3333 0.6667 0.0683 x2

Principal peaks in the range 2θ = 15–90°, most intense first:
- d = 3.602 Å, 24.7 deg, rel. 100
- d = 2.674 Å, 33.5 deg, rel. 47
- d = 2.436 Å, 36.9 deg, rel. 40
- d = 2.018 Å, 44.9 deg, rel. 34
- d = 1.801 Å, 50.7 deg, rel. 25
- d = 1.555 Å, 59.5 deg, rel. 25
- d = 1.674 Å, 54.8 deg, rel. 21
- d = 4.219 Å, 21.1 deg, rel. 18
- d = 1.448 Å, 64.3 deg, rel. 16
- d = 2.305 Å, 39.1 deg, rel. 15



Entry 4:
CaBPdO5: calculated powder diffractogram (Cu Kα (weighted mean of Kα1 and Kα2)), based on DFT lattice parameters and positions (GGA-PBE).
No peak broadening, texture or thermal motion is included.

Cell and atoms:
Lattice parameters (Å, degrees): 6.3865 8.6561 6.9440 90.00 115.09 90.00
Space group C2/c (No. 15)
Inequivalent atoms, fractional coordinates:
Ca1 0.0000 0.1496 0.2500 x4
B1 0.0000 0.1976 0.7500 x4
Pd1 0.0000 0.5000 0.0000 x4
O1 0.0000 0.4072 0.2500 x4
O2 0.1106 0.2851 0.6381 x8
O3 0.1670 0.0836 0.9115 x8

Principal peaks in the range 2θ = 15–90°, most intense first:
- d = 3.198 Å, 27.9 deg, rel. 100
- d = 4.809 Å, 18.4 deg, rel. 98
- d = 2.892 Å, 30.9 deg, rel. 51
- d = 2.582 Å, 34.7 deg, rel. 51
- d = 2.544 Å, 35.3 deg, rel. 46
- d = 4.328 Å, 20.5 deg, rel. 33
- d = 1.713 Å, 53.5 deg, rel. 26
- d = 2.026 Å, 44.7 deg, rel. 26
- d = 1.783 Å, 51.2 deg, rel. 18
- d = 1.650 Å, 55.7 deg, rel. 16



Entry 5:
Rb3CaB2O6: calculated powder diffractogram (Cu Kα (weighted mean of Kα1 and Kα2)), based on DFT lattice parameters and positions (GGA-PBE).
No peak broadening, texture or thermal motion is included.

Cell and atoms:
Lattice parameters (Å, degrees): 5.7848 5.7848 7.1763 90.00 90.00 120.00
Space group P-3m1 (No. 164)
Inequivalent atoms, fractional coordinates:
Rb1 0.0000 0.0000 0.0000 x1
Rb2 0.3333 0.6667 0.7310 x2
Ca1 0.0000 0.0000 0.5000 x1
B1 0.3333 0.6667 0.3012 x2
O1 0.1948 0.3896 0.3026 x6

Principal peaks in the range 2θ = 15–90°, most intense first:
- d = 2.917 Å, 30.6 deg, rel. 100
- d = 2.892 Å, 30.9 deg, rel. 85
- d = 4.108 Å, 21.6 deg, rel. 56
- d = 2.365 Å, 38.0 deg, rel. 53
- d = 2.054 Å, 44.1 deg, rel. 49
- d = 1.675 Å, 54.8 deg, rel. 26
- d = 1.525 Å, 60.7 deg, rel. 21
- d = 1.831 Å, 49.8 deg, rel. 20
- d = 1.296 Å, 73.0 deg, rel. 16
- d = 1.446 Å, 64.4 deg, rel. 15



Entry 6:
CaBRhO4: calculated powder diffractogram (Cu Kα (weighted mean of Kα1 and Kα2)), based on DFT lattice parameters and positions (GGA-PBE).
No peak broadening, texture or thermal motion is included.

Cell and atoms:
Lattice parameters (Å, degrees): 5.6897 8.5548 6.4186 90.00 90.00 90.00
Space group Cmcm (No. 63)
Inequivalent atoms, fractional coordinates:
Ca1 0.0000 0.0000 0.0000 x4
B1 0.0000 0.3733 0.2500 x4
Rh1 0.0000 0.3201 0.7500 x4
O1 0.0000 0.2756 0.0620 x8
O2 0.2065 0.4829 0.2500 x8

Principal peaks in the range 2θ = 15–90°, most intense first:
- d = 3.812 Å, 23.3 deg, rel. 100
- d = 2.549 Å, 35.2 deg, rel. 76
- d = 2.657 Å, 33.7 deg, rel. 67
- d = 2.845 Å, 31.4 deg, rel. 55
- d = 1.950 Å, 46.6 deg, rel. 38
- d = 1.906 Å, 47.7 deg, rel. 33
- d = 3.559 Å, 25.0 deg, rel. 28
- d = 2.222 Å, 40.6 deg, rel. 24
- d = 1.579 Å, 58.4 deg, rel. 22
- d = 2.369 Å, 38.0 deg, rel. 20



> What is the formula in the fourth record?

CaBPdO5